# MnBAuI
Calculated X-ray powder pattern, Cu Kα (λ = 1.5418 Å). Input: DFT lattice parameters and positions (GGA-PBE).
Kinematic intensities with the Lorentz-polarization factor, no thermal factor.

The 8 most intense peaks (2θ = 10–80°), sorted by position:
12.1 deg, I = 27; 24.4 deg, I = 28; 29.6 deg, I = 100; 30.5 deg, I = 33; 36.9 deg, I = 15; 41.4 deg, I = 46; 44.5 deg, I = 49; 52.0 deg, I = 21

Cell and atoms:
```
MnBAuI
1.0
3.048 -1.756 0.000
3.048 1.756 0.000
-2.023 0.000 7.302
Mn B Au I
1 1 1 1
direct
0.000 0.000 0.000 Mn
0.364 0.364 0.092 B
0.747 0.747 0.243 Au
0.879 0.879 0.644 I
```